Entry 1:
Starting from a cell relaxed with GGA+U, the X-ray diffraction stick pattern of Mn3CrNi2P6O24 was calculated for λ = 1.5418 Å (Cu Kα).

Top 12 peaks for 2θ = 10–80°, low angle first:
2θ (°)  d_spacing  Rel. int.
20.83  4.264  94
24.60  3.619  100
25.64  3.475  21
32.37  2.766  18
33.57  2.670  68
36.50  2.462  40
42.90  2.108  12
48.15  1.890  37
50.43  1.810  26
57.16  1.612  25
57.56  1.601  18
63.84  1.458  20

Cell and atoms:
```
Mn3CrNi2P6O24
1.0
4.2638 2.4617 6.8475
-4.2638 2.4617 6.8475
0.0000 -4.9234 6.8475
Mn Cr Ni P O
3 1 2 6 24
Direct
0.0000 0.0000 0.0000
0.2167 0.2167 0.2167
0.5003 0.5003 0.5003
0.7179 0.7179 0.7179
0.3588 0.3588 0.3588
0.8581 0.8581 0.8581
0.1085 0.8184 0.3996
0.3153 0.6079 0.9004
0.3996 0.1085 0.8184
0.6079 0.9004 0.3153
0.8184 0.3996 0.1085
0.9004 0.3153 0.6079
0.0475 0.8492 0.2412
0.1012 0.3023 0.4414
0.1137 0.7681 0.9186
0.1728 0.9782 0.3625
0.2412 0.0475 0.8492
0.2720 0.6183 0.4128
0.3023 0.4414 0.1012
0.3460 0.5475 0.7416
0.3625 0.1728 0.9782
0.4128 0.2720 0.6183
0.4414 0.1012 0.3023
0.4722 0.6699 0.8676
0.5475 0.7416 0.3460
0.5992 0.9478 0.8039
0.6183 0.4128 0.2720
0.6699 0.8676 0.4722
0.7416 0.3460 0.5475
0.7681 0.9186 0.1137
0.8039 0.5992 0.9478
0.8492 0.2412 0.0475
0.8676 0.4722 0.6699
0.9186 0.1137 0.7681
0.9478 0.8039 0.5992
0.9782 0.3625 0.1728
```

Entry 2:
Starting from a cell relaxed with GGA+U, the X-ray diffraction stick pattern of Sr2NdSmMn4O12 was calculated for λ = 1.5418 Å (Cu Kα).

Top 12 peaks for 2θ = 10–80°, low angle first:
2θ (°)  d_spacing  Rel. int.
32.23  2.777  23
32.52  2.753  100
32.59  2.747  25
39.92  2.258  11
40.22  2.242  12
46.40  1.957  16
46.59  1.949  16
46.82  1.940  15
57.60  1.600  11
58.02  1.590  20
58.20  1.585  20
68.23  1.375  13

Cell and atoms:
```
Sr2NdSmMn4O12
1.0
3.9143 -3.8804 0.0000
3.9143 3.8804 0.0000
-0.0851 0.0000 7.7971
Sr Nd Sm Mn O
2 1 1 4 12
Direct
0.0000 0.0000 0.0000
0.4996 0.4996 0.4999
0.5065 0.5065 0.9925
0.0099 0.0099 0.4919
0.0007 0.5008 0.2501
0.0008 0.5011 0.7482
0.5008 0.0007 0.2501
0.5011 0.0008 0.7482
0.0298 0.4470 0.5000
0.2100 0.7894 0.2614
0.2212 0.2212 0.7780
0.2890 0.7112 0.7586
0.2914 0.2914 0.2096
0.4470 0.0298 0.5000
0.5292 0.9525 0.9999
0.7112 0.2890 0.7586
0.7216 0.7216 0.2795
0.7894 0.2100 0.2614
0.7935 0.7935 0.7055
0.9525 0.5292 0.9999
```